Structure and calculated powder XRD pattern of Li2Ge4Ru3 (a DFT-relaxed cell (GGA-PBE, Alexandria); CuKα).
Intensities are scaled so that the largest is 100.

```
data_Li2Ge4Ru3
_symmetry_space_group_name_H-M 'F m m m'
_symmetry_Int_Tables_number 69
_symmetry_space_group_name_Hall '-F 2 2'
_cell_length_a 5.5771
_cell_length_b 9.1156
_cell_length_c 12.3645
_cell_angle_alpha 90.00
_cell_angle_beta 90.00
_cell_angle_gamma 90.00
loop_
_atom_site_label
_atom_site_type_symbol
_atom_site_fract_x
_atom_site_fract_y
_atom_site_fract_z
Li1 Li 0.0000 0.0000 0.1066
Ge1 Ge 0.0000 0.1767 0.3404
Ru1 Ru 0.0000 0.0000 0.5000
Ru2 Ru 0.2500 0.2500 0.0000
```

Top 10 peaks for 10° ≤ 2θ ≤ 80°, low angle first:
hkl, d (Å), I/Imax
0 0 2, 6.182, 67.7
0 2 0, 4.558, 72.0
1 1 1, 4.440, 100.0
1 3 3, 2.240, 93.3
2 2 2, 2.220, 85.1
0 4 2, 2.138, 30.1
0 0 6, 2.061, 39.7
2 2 4, 1.885, 59.3
3 3 3, 1.480, 24.5
2 6 0, 1.334, 23.2